Record 1
La8AgP3I4: simulated powder diffractogram (CuKα), based on a DFT-relaxed cell (GGA-PBE, Alexandria).

Main lines, in order of falling intensity (2θ from 10° to 90°):
index, 2θ/deg, I (rel.)
0 2 4, 28.22, 100
2 2 0, 41.53, 38
2 0 8, 39.13, 30
2 0 5, 30.53, 19
4 0 4, 50.97, 18
2 4 4, 67.76, 15
2 2 9, 55.19, 13
0 4 8, 58.37, 9
0 0 9, 34.69, 9
4 2 8, 74.15, 9

Cell and atoms:
Unit cell a=8.6986 b=8.6986 c=23.2727 alpha=90.00 beta=90.00 gamma=120.00
Space group R-3m (No. 166, hexagonal axes)
Inequivalent atoms, fractional coordinates:
La (0.0000, 0.0000, 0.2315) x6
La (0.0174, 0.5087, 0.7651) x18
Ag (0.0000, 0.0000, 0.5000) x3
P (0.0000, 0.5000, 0.5000) x9
I (0.0000, 0.0000, 0.0000) x3
I (0.0000, 0.5000, 0.0000) x9

=====

Record 2
LiAg2I3: simulated powder diffractogram (CuKα), based on a DFT-relaxed cell (GGA-PBE, Alexandria).

Main lines, in order of falling intensity (2θ from 10° to 90°):
index, 2θ/deg, I (rel.)
1 0 -1, 12.01, 100
3 1 -1, 38.64, 96
0 0 3, 23.43, 85
1 1 4, 41.29, 64
1 1 0, 22.83, 63
1 1 -1, 23.30, 55
0 2 0, 40.42, 51
1 1 1, 24.96, 43
2 0 -5, 40.90, 42
1 1 -4, 36.98, 41

Cell and atoms:
Unit cell a=8.196 b=4.463 c=11.696 alpha=90.00 beta=103.12 gamma=90.00
Space group P2_1/m (No. 11)
Inequivalent atoms, fractional coordinates:
Li (0.207, 0.250, 0.233) x2
Ag (0.059, 0.250, 0.930) x2
Ag (0.412, 0.750, 0.424) x2
I (0.056, 0.750, 0.321) x2
I (0.274, 0.750, 0.015) x2
I (0.445, 0.750, 0.677) x2

=====

Record 3
LiAgI3: simulated powder diffractogram (CuKα), based on a DFT-relaxed cell (GGA-PBE, Alexandria).

Main lines, in order of falling intensity (2θ from 10° to 90°):
index, 2θ/deg, I (rel.)
1 3 1, 26.51, 100
0 6 2, 35.77, 26
1 1 3, 43.87, 25
1 9 1, 44.62, 21
1 5 1, 31.33, 19
2 0 0, 39.83, 17
1 7 1, 37.52, 16
0 2 1, 15.08, 16
0 6 0, 24.70, 15
0 4 2, 30.44, 15

Cell and atoms:
Unit cell a=4.527 b=21.624 c=6.996 alpha=90.00 beta=90.00 gamma=90.00
Space group Cmc2_1 (No. 36)
Inequivalent atoms, fractional coordinates:
Li (0.000, 0.148, 0.000) x4
Ag (0.000, 0.337, 0.965) x4
I (0.000, 0.096, 0.637) x4
I (0.000, 0.249, 0.266) x4
I (0.000, 0.413, 0.641) x4

=====

Record 4
LiAg2I3: simulated powder diffractogram (CuKα), based on a DFT-relaxed cell (GGA-PBE, Alexandria).

Main lines, in order of falling intensity (2θ from 10° to 90°):
index, 2θ/deg, I (rel.)
0 0 2, 23.51, 100
2 0 2, 38.85, 62
3 3 -3, 45.89, 28
3 3 1, 45.98, 16
2 0 4, 61.73, 13
0 6 0, 38.91, 12
1 3 5, 70.32, 12
6 0 -2, 70.44, 10
2 6 4, 75.41, 8
2 6 2, 56.18, 8

Cell and atoms:
Unit cell a=8.025 b=13.889 c=8.050 alpha=90.00 beta=109.62 gamma=90.00
Space group Cc (No. 9)
Inequivalent atoms, fractional coordinates:
Li (0.000, 0.083, 0.000) x4
Ag (0.002, 0.247, 0.504) x4
Ag (0.002, 0.418, 0.002) x4
I (0.369, 0.085, 0.124) x4
I (0.380, 0.253, 0.626) x4
I (0.381, 0.422, 0.133) x4